The following is a computed powder XRD pattern of UGe2Pt2. It was derived from a cell relaxed with PBE, using Cu Ka.
Peak positions follow from Bragg's law for the DFT cell and can differ from measured ones.

Cell and atoms:
```
UGe2Pt2
1.0
4.3781 0.0000 0.0000
0.0000 4.3781 0.0000
0.0000 0.0000 9.8931
U Ge Pt
2 4 4
Cartesian
0.0000 0.0000 0.0000
2.1890 2.1890 4.9465
0.0000 0.0000 3.7342
0.0000 0.0000 6.1589
2.1890 2.1890 1.2123
2.1890 2.1890 8.6808
0.0000 2.1890 2.4733
0.0000 2.1890 7.4198
2.1890 0.0000 2.4733
2.1890 0.0000 7.4198
```

The 8 most intense peaks (2θ from 15° to 90°), sorted by position:
2θ (°), intensity
34.0, 29
34.2, 100
41.2, 46
54.5, 15
56.1, 14
59.7, 16
64.0, 16
70.6, 29


The following is a computed powder XRD pattern of YBi15O24. It was derived from a cell relaxed with PBE, using Cu Ka.
Peak positions follow from Bragg's law for the DFT cell and can differ from measured ones.

Cell and atoms:
```
YBi15O24
1.0
7.9348 0.0000 0.0000
0.0000 7.7682 0.0000
-0.1759 0.0000 11.3650
Y Bi O
1 15 24
Cartesian
0.0000 0.0000 0.0000
0.1403 0.0000 5.7449
0.3157 3.8841 5.8448
0.4566 3.8841 0.2318
2.1630 1.9557 2.9722
2.1630 5.8125 2.9722
2.1970 1.9749 8.6915
2.1970 5.7933 8.6915
4.1318 3.8841 5.8646
4.2354 3.8841 0.1834
4.2452 0.0000 0.1237
4.2626 0.0000 5.7431
6.1660 1.8928 2.9139
6.1660 5.8754 2.9139
6.1614 1.9064 8.6156
6.1614 5.8618 8.6156
-0.1519 2.1450 10.1153
-0.1519 5.6232 10.1153
0.5825 1.6025 7.2224
0.5825 6.1657 7.2224
0.7236 1.5811 1.4100
0.7236 6.1871 1.4100
2.1942 3.8841 2.0441
2.2282 3.8841 4.8866
2.1793 3.8841 7.7421
2.1545 3.8841 10.5537
3.8320 1.6200 1.5484
3.8320 6.1482 1.5484
3.8092 1.5879 7.2291
3.8092 6.1803 7.2291
4.6220 2.2918 4.4031
4.6220 5.4764 4.4031
4.5448 2.3017 10.0784
4.5448 5.4665 10.0784
6.1125 0.0000 1.1161
6.2107 0.0000 3.9085
6.1683 0.0000 6.7444
6.1461 0.0000 9.5712
7.8315 2.2929 4.3387
7.8315 5.4753 4.3387
```

The 8 most intense peaks (2θ from 15° to 90°), sorted by position:
2θ (°), intensity
27.2, 53
27.6, 50
27.8, 100
31.5, 29
32.3, 55
45.4, 31
46.0, 29
53.8, 17


The following is a computed powder XRD pattern of LiErAu2. It was derived from a cell relaxed with PBE, using Cu Ka.
Peak positions follow from Bragg's law for the DFT cell and can differ from measured ones.

Cell and atoms:
```
LiErAu2
1.0
6.8369 0.0000 0.0000
0.0000 6.8369 0.0000
0.0000 0.0000 6.8369
Li Er Au
4 4 8
Cartesian
0.0000 0.0000 0.0000
0.0000 3.4185 3.4185
3.4185 0.0000 3.4185
3.4185 3.4185 0.0000
0.0000 0.0000 3.4185
0.0000 3.4185 0.0000
3.4185 0.0000 0.0000
3.4185 3.4185 3.4185
1.7092 1.7092 1.7092
1.7092 1.7092 5.1277
1.7092 5.1277 1.7092
1.7092 5.1277 5.1277
5.1277 1.7092 1.7092
5.1277 1.7092 5.1277
5.1277 5.1277 1.7092
5.1277 5.1277 5.1277
```

The 8 most intense peaks (2θ from 15° to 90°), sorted by position:
2θ (°), intensity
22.5, 19
26.1, 20
37.2, 100
43.9, 10
53.6, 18
60.6, 8
67.1, 36
79.3, 12


The following is a computed powder XRD pattern of SrCaGdSbO6. It was derived from a cell relaxed with PBE, using Cu Ka.
Peak positions follow from Bragg's law for the DFT cell and can differ from measured ones.

Cell and atoms:
```
SrCaGdSbO6
1.0
0.0000 4.2089 4.2089
4.2089 0.0000 4.2089
4.2089 4.2089 0.0000
Sr Ca Gd Sb O
1 1 1 1 6
Cartesian
0.0000 0.0000 0.0000
4.2089 4.2089 4.2089
2.1045 2.1045 2.1045
6.3134 6.3134 6.3134
6.3134 6.3134 4.3261
6.3134 4.3261 6.3134
8.3007 6.3134 6.3134
4.3261 6.3134 6.3134
6.3134 8.3007 6.3134
6.3134 6.3134 8.3007
```

The 8 most intense peaks (2θ from 15° to 90°), sorted by position:
2θ (°), intensity
21.1, 28
30.0, 100
43.0, 33
48.4, 12
53.3, 40
62.4, 20
70.8, 18
86.5, 21


The following is a computed powder XRD pattern of Hf2SiH. It was derived from a cell relaxed with PBE, using Cu Ka.
Peak positions follow from Bragg's law for the DFT cell and can differ from measured ones.

Cell and atoms:
```
Hf2SiH
1.0
6.5296 0.0000 0.0000
0.0000 6.5296 0.0000
0.0000 0.0000 5.4329
Hf Si H
8 4 4
Cartesian
1.0692 2.1956 0.0000
1.0692 4.3340 2.7164
2.1956 1.0692 2.7164
2.1956 5.4604 0.0000
4.3340 1.0692 0.0000
4.3340 5.4604 2.7164
5.4604 2.1956 2.7164
5.4604 4.3340 0.0000
0.0000 0.0000 1.3582
0.0000 0.0000 4.0747
3.2648 3.2648 1.3582
3.2648 3.2648 4.0747
0.0000 3.2648 1.3582
0.0000 3.2648 4.0747
3.2648 0.0000 1.3582
3.2648 0.0000 4.0747
```

The 8 most intense peaks (2θ from 15° to 90°), sorted by position:
2θ (°), intensity
27.3, 12
33.0, 21
34.9, 100
43.3, 15
43.8, 16
60.1, 29
60.9, 18
70.3, 13


The following is a computed powder XRD pattern of Sm2I2O. It was derived from a cell relaxed with PBE, using Cu Ka.
Peak positions follow from Bragg's law for the DFT cell and can differ from measured ones.

Cell and atoms:
```
Sm2I2O
1.0
3.9161 0.0000 0.0000
0.0000 3.9161 0.0000
0.0000 0.0000 14.4525
Sm I O
2 2 1
Cartesian
0.0000 0.0000 2.0959
0.0000 0.0000 12.3567
0.0000 0.0000 5.1158
0.0000 0.0000 9.3367
0.0000 0.0000 0.0000
```

The 8 most intense peaks (2θ from 15° to 90°), sorted by position:
2θ (°), intensity
22.7, 100
24.6, 27
32.3, 40
33.8, 48
41.1, 28
44.1, 17
52.2, 20
58.6, 20